Entry 1:
Simulated X-ray diffraction stick pattern of Ca4SbN2 for CuKα, from a PBE-relaxed structure.
Neutral-atom scattering factors, no anomalous dispersion.

Crystal structure
abc: 6.9464 8.2069 11.7049
angles: 90.00 90.00 90.00
Space group Imma (No. 74)
Symmetry-distinct sites (fractional):
Ca (0.0000, 0.0434, 0.2129) x8
Ca (0.2442, 0.2500, 0.0081) x8
Sb (0.2500, 0.2500, 0.7500) x4
N (0.0000, 0.0000, 0.0000) x4
N (0.0000, 0.2500, 0.3526) x4

Top 10 peaks for 2θ = 5–70°, by intensity:
index  d [Å]  2theta  I/Imax
2 2 0  2.651  33.81  1000
2 1 1  3.085  28.94  887
0 1 1  6.720  13.18  801
2 2 4  1.965  46.21  748
0 0 4  2.926  30.55  564
0 0 2  5.852  15.14  466
2 1 3  2.474  36.32  456
0 3 3  2.239  40.28  452
0 1 3  3.524  25.27  408
0 3 1  2.664  33.64  361



Entry 2:
Simulated X-ray diffraction stick pattern of In2Te for CuKα, from a PBE-relaxed structure.
Neutral-atom scattering factors, no anomalous dispersion.

Crystal structure
abc: 4.5995 12.2529 7.1133
angles: 90.00 90.00 90.00
Space group Fmm2 (No. 42)
Symmetry-distinct sites (fractional):
In (0.0000, 0.1563, 0.0000) x8
Te (0.0000, 0.0000, 0.3442) x4

Top 10 peaks for 2θ = 5–70°, by intensity:
index  d [Å]  2theta  I/Imax
1 3 1  2.806  31.89  1000
1 1 1  3.684  24.16  291
1 1 3  2.077  43.57  267
0 0 2  3.557  25.04  225
0 2 2  3.076  29.03  203
2 0 0  2.300  39.17  182
0 4 2  2.321  38.80  170
3 3 1  1.407  66.45  140
0 6 0  2.042  44.36  115
2 4 2  1.634  56.32  112



Entry 3:
Simulated X-ray diffraction stick pattern of KCa2Nb3O10 for CuKα, from a PBE-relaxed structure.
Neutral-atom scattering factors, no anomalous dispersion.

Crystal structure
abc: 3.9477 29.7771 7.8988
angles: 90.00 90.00 90.00
Space group Cmc2_1 (No. 36)
Symmetry-distinct sites (fractional):
K (0.0000, 0.2440, 0.0000) x4
Ca (0.0000, 0.0730, 0.0252) x4
Ca (0.0000, 0.0780, 0.5014) x4
Nb (0.0000, 0.3557, 0.7489) x4
Nb (0.0000, 0.3579, 0.2572) x4
Nb (0.0000, 0.4983, 0.2498) x4
O (0.0000, 0.0018, 0.2118) x4
O (0.0000, 0.1259, 0.7546) x4
O (0.0000, 0.1283, 0.2474) x4
O (0.0000, 0.2965, 0.7041) x4
O (0.0000, 0.2985, 0.2943) x4
O (0.0000, 0.3555, 0.9990) x4
O (0.0000, 0.3801, 0.5009) x4
O (0.0000, 0.4361, 0.1687) x4
O (0.0000, 0.4360, 0.7961) x4
O (0.0000, 0.4794, 0.4807) x4

Top 10 peaks for 2θ = 5–70°, by intensity:
index  d [Å]  2theta  I/Imax
0 2 0  14.889  5.94  1000
0 6 2  3.090  28.89  740
1 1 2  2.780  32.20  642
1 7 0  2.894  30.90  574
2 0 0  1.974  45.97  536
1 1 0  3.913  22.72  419
1 13 2  1.771  51.60  323
0 0 2  3.949  22.51  308
1 7 4  1.631  56.41  264
0 8 0  3.722  23.91  259



Entry 4:
Simulated X-ray diffraction stick pattern of Sm7Dy3Y2 for CuKα, from a PBE-relaxed structure.
Neutral-atom scattering factors, no anomalous dispersion.

Crystal structure
abc: 6.4189 3.5540 17.5524
angles: 90.00 96.02 90.00
Space group P2/m (No. 10)
Symmetry-distinct sites (fractional):
Sm (0.0000, 0.0000, 0.0000) x1
Sm (0.2249, 0.5000, 0.1698) x2
Sm (0.2573, 0.5000, 0.4969) x2
Sm (0.2754, 0.0000, 0.8338) x2
Dy (0.4513, 0.0000, 0.3408) x2
Dy (0.5000, 0.5000, 0.0000) x1
Y (0.0590, 0.5000, 0.6709) x2

Top 10 peaks for 2θ = 5–70°, by intensity:
index  d [Å]  2theta  I/Imax
0 0 6  2.909  30.74  1000
1 1 2  2.880  31.06  996
1 1 -4  2.593  34.59  853
2 0 -3  2.931  30.50  826
1 1 1  3.031  29.47  714
2 0 3  2.682  33.41  691
3 1 -1  1.833  49.75  375
1 1 -5  2.380  37.79  300
0 2 6  1.516  61.11  281
1 1 7  1.897  47.95  255



Entry 5:
Simulated X-ray diffraction stick pattern of GdScNiGe for CuKα, from a PBE-relaxed structure.
Neutral-atom scattering factors, no anomalous dispersion.

Crystal structure
abc: 6.7967 6.7967 6.7967
angles: 90.00 90.00 90.00
Space group F-43m (No. 216)
Symmetry-distinct sites (fractional):
Gd (0.0000, 0.0000, 0.0000) x4
Sc (0.0000, 0.0000, 0.5000) x4
Ni (0.2500, 0.2500, 0.7500) x4
Ge (0.2500, 0.2500, 0.2500) x4

Top 9 peaks for 2θ = 5–70°, by intensity:
index  d [Å]  2theta  I/Imax
2 2 0  2.403  37.42  1000
4 2 2  1.387  67.51  336
1 1 1  3.924  22.66  248
4 0 0  1.699  53.96  169
3 1 1  2.049  44.20  136
3 3 1  1.559  59.26  59
2 0 0  3.398  26.22  38
4 2 0  1.520  60.96  15
2 2 2  1.962  46.27  11



Entry 6:
Simulated X-ray diffraction stick pattern of ScIn2 for CuKα, from a PBE-relaxed structure.
Neutral-atom scattering factors, no anomalous dispersion.

Crystal structure
abc: 4.3981 5.1388 12.6729
angles: 90.00 90.00 90.00
Space group Fmmm (No. 69)
Symmetry-distinct sites (fractional):
Sc (0.0000, 0.0000, 0.0000) x4
In (0.0000, 0.0000, 0.3357) x8

Top 10 peaks for 2θ = 5–70°, by intensity:
index  d [Å]  2theta  I/Imax
1 1 3  2.621  34.22  1000
0 2 0  2.569  34.92  237
1 3 3  1.493  62.17  165
2 0 0  2.199  41.04  149
0 0 6  2.112  42.81  131
1 1 1  3.231  27.61  125
2 2 0  1.671  54.96  122
0 2 6  1.632  56.39  112
0 0 2  6.336  13.98  112
2 0 6  1.523  60.81  88



Entry 7:
Simulated X-ray diffraction stick pattern of CePrSm4S8 for CuKα, from a PBE-relaxed structure.
Neutral-atom scattering factors, no anomalous dispersion.

Crystal structure
abc: 8.2802 8.2802 20.4051
angles: 90.00 90.00 120.00
Space group R3m (No. 160, hexagonal axes)
Symmetry-distinct sites (fractional):
Ce (0.0000, 0.0000, 0.0000) x3
Pr (0.0000, 0.0000, 0.3744) x3
Sm (0.0000, 0.0000, 0.7488) x3
Sm (0.0002, 0.5001, 0.8744) x9
S (0.0000, 0.0000, 0.1345) x3
S (0.0000, 0.0000, 0.6165) x3
S (0.0159, 0.5080, 0.1286) x9
S (0.1778, 0.3556, 0.9528) x9

Top 10 peaks for 2θ = 5–70°, by intensity:
index  d [Å]  2theta  I/Imax
1 1 3  3.540  25.16  1000
0 3 3  2.257  39.95  432
2 0 8  2.078  43.55  402
2 2 0  2.070  43.73  401
1 0 4  4.149  21.42  351
0 2 1  3.531  25.22  346
0 2 4  2.933  30.47  274
4 0 7  1.526  60.71  204
0 2 7  2.263  39.84  163
4 0 1  1.787  51.11  147



Entry 8:
Simulated X-ray diffraction stick pattern of K4S12I for CuKα, from a PBE-relaxed structure.
Neutral-atom scattering factors, no anomalous dispersion.

Crystal structure
abc: 10.3416 10.3416 10.3416
angles: 90.00 90.00 90.00
Space group Im-3 (No. 204)
Symmetry-distinct sites (fractional):
K (0.2500, 0.2500, 0.2500) x8
S (0.0000, 0.1267, 0.4063) x24
I (0.0000, 0.0000, 0.0000) x2

Top 10 peaks for 2θ = 5–70°, by intensity:
index  d [Å]  2theta  I/Imax
2 2 0  3.656  24.34  1000
3 1 0  3.270  27.27  733
5 1 0  2.028  44.68  638
3 1 2  2.764  32.39  569
2 0 0  5.171  17.15  227
5 1 2  1.888  48.20  219
5 4 1  1.596  57.78  207
4 2 2  2.111  42.84  204
6 2 4  1.382  67.81  186
2 1 1  4.222  21.04  169